The following is a computed powder XRD pattern of Sc2InMo2. It was derived from a DFT-relaxed cell (GGA-PBE, Alexandria), using Cu Ka.
Kinematic intensities with the Lorentz-polarization factor, no thermal factor.

```
Sc2InMo2
1.0
7.1562 0.0000 0.0000
0.0000 7.1562 0.0000
0.0000 0.0000 4.0236
Sc In Mo
4 2 4
Direct
0.1733 0.3267 0.0000
0.3267 0.8267 0.0000
0.6733 0.1733 0.0000
0.8267 0.6733 0.0000
0.0000 0.0000 0.5000
0.5000 0.5000 0.5000
0.1149 0.6149 0.5000
0.3851 0.1149 0.5000
0.6149 0.8851 0.5000
0.8851 0.3851 0.5000
```

Most intense lines, 5 to 70 degrees two-theta, by angle:
- (0 0 1), 2θ = 22.09°, I 57
- (2 0 1), 2θ = 33.52°, I 60
- (2 2 0), 2θ = 35.48°, I 15
- (2 1 1), 2θ = 35.85°, I 100
- (3 1 0), 2θ = 39.83°, I 57
- (0 0 2), 2θ = 45.06°, I 28
- (3 2 0), 2θ = 45.71°, I 19
- (3 1 1), 2θ = 46.01°, I 33
- (3 2 1), 2θ = 51.33°, I 21
- (3 1 2), 2θ = 61.69°, I 30